Entry 1:
Diffraction record for Ca4Sb6O19. The powder diffractogram is theoretical, not measured: it uses a GGA-PBE-relaxed structure and Cu Ka.
Neutral-atom scattering factors, no anomalous dispersion.

Atomic structure:
abc: 9.3477 9.3477 9.3477
angles: 90.00 90.00 90.00
Space group I23 (No. 197)
Inequivalent atoms, fractional coordinates:
Ca: 0.1399 0.1399 0.8601 x8
Sb: 0.0000 0.3354 0.5000 x12
O: 0.0000 0.0000 0.0000 x2
O: 0.0000 0.0000 0.3578 x12
O: 0.0126 0.3261 0.7146 x24

Most intense lines, 2θ = 10–90°, in order of falling intensity:
d_spacing  I/Imax  hkl
2.956  1000  3 1 0
2.498  745  3 2 1
6.610  663  1 1 0
1.833  554  4 1 3
4.674  540  2 0 0
1.558  300  6 0 0

=====

Entry 2:
Diffraction record for CaSb2O4. The powder diffractogram is theoretical, not measured: it uses a GGA-PBE-relaxed structure and Cu Ka.
Neutral-atom scattering factors, no anomalous dispersion.

Atomic structure:
abc: 3.8163 10.8323 10.7482
angles: 90.00 90.00 90.00
Space group Pbcm (No. 57)
Inequivalent atoms, fractional coordinates:
Ca: 0.0902 0.1195 0.2500 x4
Sb: 0.4191 0.6260 0.5874 x8
O: 0.2539 0.2500 0.0000 x4
O: 0.3215 0.1871 0.7500 x4
O: 0.3723 0.5456 0.1109 x8

Most intense lines, 2θ = 10–90°, in order of falling intensity:
d_spacing  I/Imax  hkl
2.991  1000  0 2 3
3.816  364  1 0 0
2.353  277  1 2 3
2.708  219  0 4 0
4.837  202  0 2 1
1.613  201  0 6 3